(1)
Starting from a cell relaxed with GGA-PBE, the powder X-ray diffraction pattern of Li2Al2Pd5 was simulated for Cu Kα (λ = 1.5418 Å).
No peak broadening, texture or thermal motion is included.

The 6 most intense peaks (10° ≤ 2θ ≤ 90°), in order of rising 2θ:
- 23.5 deg, 3.786 Å, I 50
- 29.5 deg, 3.033 Å, I 50
- 35.5 deg, 2.530 Å, I 52
- 35.6 deg, 2.523 Å, I 100
- 40.5 deg, 2.230 Å, I 41
- 40.7 deg, 2.218 Å, I 37

```
Li2Al2Pd5
1.0
-6.6895 3.7857 2.7377
6.6895 -3.7857 2.7377
6.6895 3.7857 -2.7377
Li Al Pd
4 4 10
Direct
0.0000 0.0000 0.0000
0.0000 0.5000 0.5000
0.0435 0.8481 0.6954
0.1526 0.3481 0.3046
0.4106 0.5484 0.0500
0.4106 0.8606 0.3622
0.4984 0.0484 0.6378
0.4984 0.3606 0.9500
0.0018 0.1885 0.6843
0.0018 0.8176 0.3133
0.0082 0.4886 0.8203
0.0082 0.6879 0.0196
0.4530 0.3191 0.6339
0.5042 0.3176 0.3157
0.5042 0.6885 0.6867
0.6683 0.1879 0.1797
0.6683 0.9886 0.9804
0.6852 0.8191 0.3661
```



(2)
Starting from a cell relaxed with GGA-PBE, the powder X-ray diffraction pattern of Cs2CeTm3O8 was simulated for Cu Kα (λ = 1.5418 Å).
No peak broadening, texture or thermal motion is included.

The 6 most intense peaks (10° ≤ 2θ ≤ 90°), in order of rising 2θ:
- 12.3 deg, 7.167 Å, I 100
- 24.8 deg, 3.584 Å, I 64
- 30.1 deg, 2.967 Å, I 54
- 31.0 deg, 2.886 Å, I 58
- 34.3 deg, 2.617 Å, I 71
- 45.3 deg, 2.001 Å, I 37

```
Cs2CeTm3O8
1.0
3.4589 1.9970 7.1674
-3.4589 1.9970 7.1674
0.0000 -3.9940 7.1674
Cs Ce Tm O
2 1 3 8
Direct
0.0000 0.0000 0.0000
0.3463 0.3463 0.3463
0.5164 0.5164 0.5164
0.5049 0.9988 0.9988
0.9988 0.5049 0.9988
0.9988 0.9988 0.5049
0.2086 0.7288 0.7288
0.2156 0.2156 0.2156
0.2945 0.2945 0.7811
0.2945 0.7811 0.2945
0.7288 0.2086 0.7288
0.7288 0.7288 0.2086
0.7811 0.2945 0.2945
0.7865 0.7865 0.7865
```



(3)
Starting from a cell relaxed with GGA-PBE, the powder X-ray diffraction pattern of TlAg5 was simulated for Cu Kα (λ = 1.5418 Å).
No peak broadening, texture or thermal motion is included.

The 6 most intense peaks (10° ≤ 2θ ≤ 90°), in order of rising 2θ:
- 36.6 deg, 2.456 Å, I 100
- 41.9 deg, 2.158 Å, I 17
- 42.0 deg, 2.152 Å, I 17
- 43.6 deg, 2.074 Å, I 15
- 62.1 deg, 1.494 Å, I 20
- 73.0 deg, 1.296 Å, I 13

```
TlAg5
1.0
2.0745 -6.4562 0.0000
2.0745 6.4562 0.0000
0.0000 0.0000 4.3151
Tl Ag
1 5
Direct
0.0000 0.0000 0.0000
0.1717 0.8283 0.5000
0.3292 0.6708 0.0000
0.5000 0.5000 0.5000
0.6708 0.3292 0.0000
0.8283 0.1717 0.5000
```